This entry pairs a crystal structure of ZnAsF4 with its calculated powder diffractogram. Radiation: Cu Kα. Structure: a structure optimized by DFT (GGA-PBE).
No peak broadening, texture or thermal motion is included.

Cell and atoms:
a b c (Å): 6.714 6.714 4.857
angles (deg): 90.00 90.00 90.00
Positions (direct):
Zn  0.000  0.000  0.000
Zn  0.500  0.500  0.500
As  0.000  0.500  0.250
As  0.500  0.000  0.750
F  0.101  0.210  0.236
F  0.210  0.899  0.764
F  0.290  0.601  0.264
F  0.399  0.290  0.736
F  0.601  0.710  0.736
F  0.710  0.399  0.264
F  0.790  0.101  0.764
F  0.899  0.790  0.236

Peak list (12 most intense, 2θ from 10° to 80°, in order of rising 2θ)
d_spacing	Position (°2θ)	Rel. int.	h k l
3.936	22.59	100	1 0 1
3.357	26.55	33	2 0 0
2.554	35.14	37	2 1 1
2.374	37.90	13	2 2 0
2.162	41.78	22	1 1 2
2.033	44.58	13	3 0 1
1.739	52.64	17	3 2 1
1.599	57.67	29	3 1 2
1.574	58.65	6	1 0 3
1.544	59.91	12	1 4 1
1.501	61.79	12	2 4 0
1.425	65.50	6	2 1 3